[1]
This entry pairs a crystal structure of TlRe3Se4Cl2 with its simulated PXRD pattern. Radiation: copper Kα. Structure: a PBE-relaxed structure.
Lines closer than 0.1° are merged.

Principal peaks in the range 2θ = 10–80°, by angle:
2theta	d_spacing	I/Imax
10.3	8.607	100
14.0	6.331	68
14.3	6.183	48
14.5	6.118	18
16.3	5.454	42
34.3	2.615	21
42.9	2.108	15
43.3	2.088	21
43.4	2.084	20
44.3	2.044	18
44.4	2.039	32
48.7	1.871	26

Crystal structure
Cell lengths 6.6672, 9.1788, 9.1966 Å; angles 85.84, 81.77, 69.71 degrees
Fractional coordinates of all 20 atoms:
Tl: 0.1638 0.1528 0.4555
Tl: 0.8362 0.8472 0.5445
Re: 0.2710 0.4256 0.0200
Re: 0.3252 0.6761 0.1079
Re: 0.4125 0.6030 0.8233
Re: 0.5875 0.3970 0.1767
Re: 0.6748 0.3239 0.8921
Re: 0.7290 0.5744 0.9800
Se: 0.0266 0.7103 0.9492
Se: 0.1957 0.4946 0.2906
Se: 0.3625 0.3566 0.7510
Se: 0.4688 0.8396 0.9137
Se: 0.5312 0.1604 0.0863
Se: 0.6375 0.6434 0.2490
Se: 0.8043 0.5054 0.7094
Se: 0.9734 0.2897 0.0508
Cl: 0.0953 0.9056 0.2463
Cl: 0.3066 0.7405 0.5930
Cl: 0.6934 0.2595 0.4070
Cl: 0.9047 0.0944 0.7537

[2]
This entry pairs a crystal structure of Th7PC5 with its simulated PXRD pattern. Radiation: copper Kα. Structure: a PBE-relaxed structure.
Lines closer than 0.1° are merged.

Principal peaks in the range 2θ = 10–80°, by angle:
2theta	d_spacing	I/Imax
27.0	3.299	33
27.7	3.221	36
28.5	3.129	42
29.0	3.075	100
31.3	2.861	99
31.5	2.844	49
32.5	2.752	84
33.8	2.654	49
47.4	1.920	40
47.6	1.910	29
49.6	1.839	34
57.8	1.595	36

Crystal structure
Cell lengths 6.6040, 6.6040, 22.4642 Å; angles 90.06, 90.06, 33.81 degrees
Fractional coordinates of all 26 atoms:
Th: 0.0198 0.0198 0.2502
Th: 0.1374 0.1374 0.5336
Th: 0.1372 0.1372 0.9664
Th: 0.3155 0.3155 0.3302
Th: 0.3161 0.3161 0.1697
Th: 0.4155 0.4155 0.8957
Th: 0.4159 0.4159 0.6042
Th: 0.5841 0.5841 0.3958
Th: 0.5845 0.5845 0.1043
Th: 0.6839 0.6839 0.8303
Th: 0.6845 0.6845 0.6698
Th: 0.8628 0.8628 0.0336
Th: 0.8626 0.8626 0.4664
Th: 0.9802 0.9802 0.7498
P: 0.3078 0.3078 0.7504
P: 0.6922 0.6922 0.2496
C: 0.0539 0.0539 0.8559
C: 0.0547 0.0547 0.6440
C: 0.2259 0.2259 0.0744
C: 0.2256 0.2256 0.4256
C: 0.5000 0.5000 0.0000
C: 0.5000 0.5000 0.5000
C: 0.7744 0.7744 0.5744
C: 0.7741 0.7741 0.9256
C: 0.9453 0.9453 0.3560
C: 0.9461 0.9461 0.1441

[3]
This entry pairs a crystal structure of Ce2Zn3Pd with its simulated PXRD pattern. Radiation: copper Kα. Structure: a PBE-relaxed structure.
Lines closer than 0.1° are merged.

Principal peaks in the range 2θ = 10–80°, by angle:
2theta	d_spacing	I/Imax
11.1	7.967	3
22.3	3.980	12
34.9	2.572	100
39.2	2.298	67
45.6	1.990	2
53.5	1.714	28
54.5	1.685	9
59.6	1.552	2
68.3	1.374	26
69.1	1.359	24
71.0	1.328	3
71.1	1.326	7

Crystal structure
Cell lengths 3.3698, 4.5919, 7.9667 Å; angles 90.00, 90.00, 90.00 degrees
Fractional coordinates of all 6 atoms:
Ce: 0.0000 0.0000 0.0000
Ce: 0.0000 0.5000 0.4781
Zn: 0.5000 0.0000 0.6599
Zn: 0.5000 0.5000 0.1500
Zn: 0.5000 0.5000 0.8196
Pd: 0.5000 0.0000 0.3248

[4]
This entry pairs a crystal structure of Tb10Sn3Pb3 with its simulated PXRD pattern. Radiation: copper Kα. Structure: a PBE-relaxed structure.
Lines closer than 0.1° are merged.

Principal peaks in the range 2θ = 10–80°, by angle:
2theta	d_spacing	I/Imax
26.9	3.318	20
29.2	3.055	14
30.1	2.965	29
33.1	2.707	100
33.5	2.676	74
34.3	2.615	37
43.8	2.067	13
48.7	1.870	17
51.6	1.773	29
55.4	1.659	11
65.9	1.418	20
66.8	1.401	11

Crystal structure
Cell lengths 9.0572, 9.0572, 6.6350 Å; angles 90.00, 90.00, 120.00 degrees
Fractional coordinates of all 16 atoms:
Tb: 0.0000 0.2372 0.0000
Tb: 0.0000 0.7625 0.5000
Tb: 0.2372 0.0000 0.0000
Tb: 0.2375 0.2375 0.5000
Tb: 0.3333 0.6667 0.2529
Tb: 0.3333 0.6667 0.7471
Tb: 0.6667 0.3333 0.2529
Tb: 0.6667 0.3333 0.7471
Tb: 0.7625 0.0000 0.5000
Tb: 0.7628 0.7628 0.0000
Sn: 0.0000 0.3946 0.5000
Sn: 0.3946 0.0000 0.5000
Sn: 0.6054 0.6054 0.5000
Pb: 0.0000 0.6045 0.0000
Pb: 0.3955 0.3955 0.0000
Pb: 0.6045 0.0000 0.0000

[5]
This entry pairs a crystal structure of PrFeTc with its simulated PXRD pattern. Radiation: copper Kα. Structure: a PBE-relaxed structure.
Lines closer than 0.1° are merged.

Principal peaks in the range 2θ = 10–80°, by angle:
2theta	d_spacing	I/Imax
30.9	2.893	27
31.5	2.838	100
36.0	2.495	14
39.8	2.263	38
42.2	2.141	16
47.2	1.927	25
50.1	1.821	11
51.2	1.783	13
61.9	1.498	14
65.8	1.419	9
67.1	1.394	11
76.3	1.248	12

Crystal structure
Cell lengths 6.3010, 6.3010, 6.3010 Å; angles 137.88, 133.34, 64.65 degrees
Fractional coordinates of all 6 atoms:
Pr: 0.3738 0.1238 0.2500
Pr: 0.6262 0.8762 0.7500
Fe: 0.0000 0.5000 0.5000
Fe: 0.5000 0.5000 0.0000
Tc: 0.0572 0.3072 0.7500
Tc: 0.9428 0.6928 0.2500

[6]
This entry pairs a crystal structure of LaNdZnGe with its simulated PXRD pattern. Radiation: copper Kα. Structure: a PBE-relaxed structure.
Lines closer than 0.1° are merged.

Principal peaks in the range 2θ = 10–80°, by angle:
2theta	d_spacing	I/Imax
26.3	3.395	24
30.4	2.939	100
31.1	2.879	50
31.3	2.861	23
37.8	2.378	49
38.0	2.368	24
41.1	2.194	25
42.9	2.108	22
53.9	1.701	21
60.4	1.532	16
60.9	1.520	16
76.9	1.239	15

Crystal structure
Cell lengths 4.2166, 6.1288, 6.1288 Å; angles 41.96, 90.00, 90.00 degrees
Fractional coordinates of all 4 atoms:
La: 0.0000 0.0000 0.0000
Nd: 0.5000 0.2858 0.2858
Zn: 0.5000 0.5790 0.5790
Ge: 0.0000 0.7188 0.7188

- Which formula does entry 2 have?
  Th7PC5